[1]
For PmGa6Cu6, the PBE geometry in Alexandria gives the theoretical X-ray powder pattern in this record (Cu Kα (weighted mean of Kα1 and Kα2)).
Peak positions follow from Bragg's law for the DFT cell and can differ from measured ones.

Atomic structure:
Cell: 5.176 8.615 8.768 Å, 90.00 90.00 90.00°
Space group Immm (No. 71)
Inequivalent atoms, fractional coordinates:
Pm1 0.000 0.000 0.000 [2 per cell]
Ga1 0.000 0.000 0.350 [4 per cell]
Ga2 0.000 0.347 0.000 [4 per cell]
Ga3 0.000 0.500 0.302 [4 per cell]
Cu1 0.000 0.267 0.500 [4 per cell]
Cu2 0.250 0.250 0.250 [8 per cell]

The 6 most intense peaks (2θ from 10° to 80°), sorted by position:
2θ = 35.27°, rel. 39, (1 0 3)
2θ = 40.48°, rel. 46, (2 0 2)
2θ = 40.67°, rel. 43, (2 2 0)
2θ = 41.19°, rel. 100, (0 0 4)
2θ = 41.44°, rel. 47, (1 3 2)
2θ = 45.84°, rel. 48, (2 2 2)


[2]
For Na2MgMnH8, the PBE geometry in Alexandria gives the theoretical X-ray powder pattern in this record (Cu Kα (weighted mean of Kα1 and Kα2)).
Peak positions follow from Bragg's law for the DFT cell and can differ from measured ones.

Atomic structure:
Cell: 4.9918 4.9918 5.4374 Å, 90.00 90.00 120.00°
Space group P-3m1 (No. 164)
Inequivalent atoms, fractional coordinates:
Na1 0.3333 0.6667 0.3466 [2 per cell]
Mg1 0.0000 0.0000 0.0000 [1 per cell]
Mn1 0.0000 0.0000 0.5000 [1 per cell]
H1 0.1505 0.3010 0.6854 [6 per cell]
H2 0.3333 0.6667 0.9615 [2 per cell]

The 6 most intense peaks (2θ from 10° to 80°), sorted by position:
2θ = 16.30°, rel. 51, (0 0 1)
2θ = 20.54°, rel. 89, (1 0 0)
2θ = 26.34°, rel. 38, (1 0 1)
2θ = 35.98°, rel. 100, (1 1 0)
2θ = 39.14°, rel. 84, (1 0 2)
2θ = 54.21°, rel. 34, (0 2 2)


Q: What is the formula in the first record?
A: PmGa6Cu6


Q: Which formula does entry 2 have?
A: Na2MgMnH8